Diffraction record for LiLaGaPt2. The X-ray powder pattern is calculated, not measured: it uses DFT lattice parameters and positions (PBE) and Cu Ka.
Lines closer than 0.1° are merged.

Structural model:
a b c (Å): 3.9850 3.9850 12.2673
angles (deg): 90.00 90.00 90.00
Space group I-4m2 (No. 119)
Unique sites:
Li: 0.0000 0.0000 0.0000
La: 0.0000 0.5000 0.7500
Ga: 0.0000 0.0000 0.5000
Pt: 0.0000 0.5000 0.1365

Main lines, by intensity (2θ = 10–90°):
| (hkl) | 2θ/deg | d [Å] | I_rel |
| --- | --- | --- | --- |
| 1 0 3 | 31.34 | 2.854 | 100 |
| 1 0 5 | 43.31 | 2.089 | 82 |
| 1 1 0 | 31.76 | 2.818 | 77 |
| 2 0 0 | 45.53 | 1.992 | 53 |
| 2 1 5 | 64.64 | 1.442 | 50 |
| 1 0 1 | 23.47 | 3.790 | 47 |